Structure and computed PXRD pattern of Li3V3Cr2O10 (a cell relaxed with GGA+U; a wavelength of 1.5418 Å).
Intensities are scaled so that the largest is 100.

Structure:
```
data_Li3V3Cr2O10
_cell_length_a 5.1244
_cell_length_b 5.1640
_cell_length_c 7.8458
_cell_angle_alpha 73.32
_cell_angle_beta 73.92
_cell_angle_gamma 79.19
_space_group_name_H-M_alt 'P -1'
_space_group_IT_number 2
loop_
_space_group_symop_operation_xyz
'x,y,z'
'-x,-y,-z'
loop_
_atom_site_label
_atom_site_type_symbol
_atom_site_fract_x
_atom_site_fract_y
_atom_site_fract_z
Li1 Li 0.0000 0.0000 0.0000
Li2 Li 0.4901 0.7112 0.0726
V1 V 0.0066 0.1827 0.6172
V2 V 0.5000 0.5000 0.5000
Cr1 Cr 0.0136 0.3943 0.1903
O1 O 0.1958 0.8251 0.5603
O2 O 0.2040 0.0269 0.1722
O3 O 0.2213 0.6138 0.9673
O4 O 0.2330 0.4692 0.3635
O5 O 0.2471 0.2779 0.7208
```

Top 10 peaks for 5° ≤ 2θ ≤ 70°, most intense first:
| hkl | two_theta | Rel. int. |
| --- | --- | --- |
| 1 0 0 | 18.12 | 100 |
| 1 1 -2 | 40.63 | 41 |
| 0 0 1 | 12.12 | 37 |
| -1 2 1 | 43.54 | 36 |
| 2 1 3 | 44.05 | 33 |
| 0 3 -1 | 61.04 | 19 |
| 1 1 1 | 22.68 | 17 |
| 1 0 2 | 26.79 | 16 |
| 0 1 2 | 26.55 | 14 |
| -2 1 3 | 61.13 | 10 |